Entry 1:
Starting from the GGA-PBE geometry in the Materials Project, the X-ray diffraction stick pattern of KNa2YSi6O15 was simulated for λ = 1.5418 Å (Cu Kα).
Peak positions follow from Bragg's law for the DFT cell and can differ from measured ones.

Cell and atoms:
Unit cell a=10.240 b=10.240 c=10.240 alpha=130.01 beta=84.73 gamma=116.68
Element x y z (fractional)
K: 0.430 0.180 0.250
K: 0.570 0.820 0.750
Na: 0.243 0.000 0.743
Na: 0.243 0.500 0.243
Na: 0.757 0.000 0.257
Na: 0.757 0.500 0.757
Y: 0.000 0.000 0.000
Y: 0.500 0.000 0.500
Si: 0.066 0.716 0.350
Si: 0.134 0.284 0.850
Si: 0.176 0.358 0.474
Si: 0.176 0.702 0.818
Si: 0.384 0.358 0.682
Si: 0.384 0.702 0.026
Si: 0.616 0.298 0.974
Si: 0.616 0.642 0.318
Si: 0.824 0.298 0.182
Si: 0.824 0.642 0.526
Si: 0.866 0.716 0.150
Si: 0.934 0.284 0.650
O: 0.016 0.225 0.486
O: 0.016 0.530 0.791
O: 0.025 0.775 0.250
O: 0.111 0.183 0.927
O: 0.170 0.274 0.277
O: 0.170 0.892 0.895
O: 0.212 0.591 0.621
O: 0.238 0.225 0.709
O: 0.238 0.530 0.014
O: 0.244 0.817 0.427
O: 0.319 0.363 0.544
O: 0.319 0.775 0.956
O: 0.470 0.591 0.879
O: 0.497 0.274 0.605
O: 0.497 0.892 0.223
O: 0.503 0.108 0.777
O: 0.503 0.726 0.395
O: 0.530 0.409 0.121
O: 0.681 0.225 0.044
O: 0.681 0.637 0.456
O: 0.756 0.183 0.573
O: 0.762 0.470 0.986
O: 0.762 0.775 0.291
O: 0.788 0.409 0.379
O: 0.830 0.108 0.105
O: 0.830 0.726 0.723
O: 0.889 0.817 0.073
O: 0.975 0.225 0.750
O: 0.984 0.470 0.209
O: 0.984 0.775 0.514

Largest 6 diffraction maxima, by angle, 2θ = 15–90°:
| 2θ (°) | I/Imax |
| --- | --- |
| 17.62 | 100 |
| 25.55 | 33 |
| 27.03 | 96 |
| 29.00 | 86 |
| 32.13 | 34 |
| 35.67 | 39 |



Entry 2:
Starting from the GGA-PBE geometry in the Materials Project, the X-ray diffraction stick pattern of TmNi2Sn was simulated for λ = 1.5418 Å (Cu Kα).
Peak positions follow from Bragg's law for the DFT cell and can differ from measured ones.

Cell and atoms:
Unit cell a=6.439 b=6.439 c=6.439 alpha=90.00 beta=90.00 gamma=90.00
Element x y z (fractional)
Tm: 0.000 0.000 0.000
Tm: 0.000 0.500 0.500
Tm: 0.500 0.000 0.500
Tm: 0.500 0.500 0.000
Ni: 0.250 0.250 0.250
Ni: 0.250 0.250 0.750
Ni: 0.250 0.750 0.250
Ni: 0.250 0.750 0.750
Ni: 0.750 0.250 0.250
Ni: 0.750 0.250 0.750
Ni: 0.750 0.750 0.250
Ni: 0.750 0.750 0.750
Sn: 0.000 0.000 0.500
Sn: 0.000 0.500 0.000
Sn: 0.500 0.000 0.000
Sn: 0.500 0.500 0.500

Largest 6 diffraction maxima, by angle, 2θ = 15–90°:
| 2θ (°) | I/Imax |
| --- | --- |
| 27.71 | 18 |
| 39.59 | 100 |
| 57.23 | 17 |
| 64.74 | 8 |
| 71.82 | 34 |
| 85.26 | 11 |